# Sm6Si2Hg
Calculated PXRD pattern, Cu Kα. Input: a DFT-relaxed cell (PBE, Alexandria).
Intensities are scaled so that the largest is 100.

Atomic structure:
Cell: 8.681 8.681 8.681 Å, 111.21 110.46 106.78°
Fractional positions:
Sm  0.044  0.246  0.798
Sm  0.180  0.273  0.453
Sm  0.180  0.727  0.906
Sm  0.323  0.028  0.704
Sm  0.323  0.619  0.296
Sm  0.449  0.246  0.202
Sm  0.551  0.754  0.798
Sm  0.677  0.381  0.704
Sm  0.677  0.972  0.296
Sm  0.820  0.273  0.094
Sm  0.820  0.727  0.547
Sm  0.956  0.754  0.202
Si  0.115  0.615  0.500
Si  0.366  0.000  0.366
Si  0.634  0.000  0.634
Si  0.885  0.385  0.500
Hg  0.000  0.000  0.000
Hg  0.500  0.500  0.000

Top 10 peaks for 5 to 70 degrees two-theta, by angle:
two_theta  d [Å]  I (rel.)
27.37  3.259  17
28.38  3.145  15
28.76  3.104  27
30.94  2.890  100
33.00  2.714  24
33.47  2.677  40
33.86  2.647  24
34.65  2.589  16
36.65  2.452  23
57.48  1.603  20


# KGa2Sn2
Calculated PXRD pattern, Cu Kα. Input: a DFT-relaxed cell (PBE, Alexandria).
Intensities are scaled so that the largest is 100.

Atomic structure:
Cell: 8.977 8.977 3.366 Å, 90.00 90.00 90.00°
Fractional positions:
K  0.000  0.000  0.000
K  0.500  0.500  0.000
Ga  0.154  0.346  0.500
Ga  0.346  0.846  0.500
Ga  0.654  0.154  0.500
Ga  0.846  0.654  0.500
Sn  0.129  0.629  0.000
Sn  0.371  0.129  0.000
Sn  0.629  0.871  0.000
Sn  0.871  0.371  0.000

Top 10 peaks for 5 to 70 degrees two-theta, by angle:
two_theta  d [Å]  I (rel.)
13.95  6.347  38
31.52  2.839  48
34.78  2.579  100
36.08  2.490  9
40.18  2.244  20
42.74  2.116  10
45.31  2.002  21
58.13  1.587  9
62.14  1.494  24
64.35  1.448  12


# Sm3ErSb2
Calculated PXRD pattern, Cu Kα. Input: a DFT-relaxed cell (PBE, Alexandria).
Intensities are scaled so that the largest is 100.

Atomic structure:
Cell: 4.527 4.527 8.665 Å, 90.00 90.00 90.00°
Fractional positions:
Sm  0.000  0.000  0.000
Sm  0.000  0.500  0.647
Sm  0.500  0.000  0.353
Er  0.500  0.500  0.000
Sb  0.000  0.500  0.277
Sb  0.500  0.000  0.723

Top 10 peaks for 5 to 70 degrees two-theta, by angle:
two_theta  d [Å]  I (rel.)
29.76  3.003  100
30.96  2.888  40
34.85  2.574  90
36.92  2.435  20
39.83  2.263  58
51.28  1.781  39
57.59  1.600  20
66.17  1.412  20
66.83  1.400  17
69.11  1.359  24